# LiV2F9
Calculated powder diffractogram, Cu Kα (weighted mean of Kα1 and Kα2). Input: a crystal structure in Alexandria, relaxed with GGA+U.
Intensities are scaled so that the largest is 100.

Atomic structure:
```
48
Lattice="7.5732 0.0000 0.0000 0.0000 10.2032 0.0000 0.0000 0.0000 9.6453" Properties=species:S:1:pos:R:3 pbc="T T T"
Li 0.2088 2.5508 0.6437
Li 3.5778 7.6524 5.4664
Li 3.9953 2.5508 4.1789
Li 7.3644 7.6524 9.0015
V 0.7793 5.7266 2.4084
V 0.7793 9.5782 2.4084
V 3.0072 0.6250 7.2311
V 3.0072 4.4766 7.2311
V 4.5659 5.7266 2.4142
V 4.5659 9.5782 2.4142
V 6.7938 0.6250 7.2368
V 6.7938 4.4766 7.2368
F 0.3475 6.3365 0.7483
F 0.3475 8.9683 0.7483
F 0.6348 1.1439 1.8905
F 0.6348 3.9577 1.8905
F 0.9264 7.6524 2.9195
F 1.1082 0.6810 6.7323
F 1.1082 4.4206 6.7323
F 1.2472 5.3678 4.0728
F 1.2472 9.9370 4.0728
F 2.5394 0.2662 8.8955
F 2.5394 4.8354 8.8955
F 2.6784 5.7826 1.9096
F 2.6784 9.5222 1.9096
F 2.8602 2.5508 7.7421
F 3.1518 6.2455 6.7132
F 3.1518 9.0593 6.7132
F 3.4391 1.2349 5.5709
F 3.4391 3.8667 5.5709
F 4.1341 6.3365 4.0744
F 4.1341 8.9683 4.0744
F 4.4214 1.1439 2.9321
F 4.4214 3.9577 2.9321
F 4.7130 7.6524 1.9032
F 4.8947 0.6810 7.7356
F 4.8947 4.4206 7.7356
F 5.0338 5.3678 0.7498
F 5.0338 9.9370 0.7498
F 6.3260 0.2662 5.5724
F 6.3260 4.8354 5.5724
F 6.4650 5.7826 2.9130
F 6.4650 9.5222 2.9130
F 6.6468 2.5508 6.7258
F 6.9383 6.2455 7.7547
F 6.9383 9.0593 7.7547
F 7.2257 1.2349 8.8970
F 7.2257 3.8667 8.8970
```

Most intense lines, 10 to 90 degrees two-theta, in order of rising 2θ:
2θ (°), Rel. int.
12.6, 100
17.4, 92
18.4, 95
25.3, 97
25.4, 20
27.8, 40
30.8, 13
40.3, 13
45.4, 23
56.5, 14

=====

# NaDyCo2F8
Calculated powder diffractogram, Cu Kα (weighted mean of Kα1 and Kα2). Input: a crystal structure in Alexandria, relaxed with GGA+U.
Intensities are scaled so that the largest is 100.

Atomic structure:
```
12
Lattice="3.5574 -3.5204 0.0000 3.5574 3.5204 0.0000 -0.0100 0.0000 6.6745" Properties=species:S:1:pos:R:3 pbc="T T T"
Na 0.0000 0.0000 0.0000
Dy -0.0050 0.0000 3.3372
Co 3.5545 0.0000 1.5892
Co 3.5503 0.0000 5.0853
F 3.5530 2.0305 1.7504
F 3.5518 2.0305 4.9240
F 2.2226 0.0000 3.3365
F 2.2625 0.0000 6.6719
F 4.8423 0.0000 0.0025
F 4.8823 0.0000 3.3380
F 3.5530 -2.0305 1.7504
F 3.5518 -2.0305 4.9240
```

Most intense lines, 10 to 90 degrees two-theta, in order of rising 2θ:
2θ (°), Rel. int.
13.3, 54
22.2, 84
25.0, 83
25.3, 73
32.2, 100
35.9, 20
37.1, 23
48.9, 60
49.2, 48
62.2, 37